Theoretical powder XRD pattern
Compound: Li4Co3O7
Radiation: Cu Ka
Structure: DFT lattice parameters and positions (GGA+U)
Peak positions follow from Bragg's law for the DFT cell and can differ from measured ones.

Principal peaks in the range 2θ from 10° to 80°, most intense first:
2θ (°)  Rel. int.  index
18.5  100  0 1 -1
42.0  32  1 1 -4
44.2  26  1 -1 5
45.2  24  0 2 5
34.9  19  1 0 -3
36.4  13  1 0 4
37.2  11  0 1 6
47.7  10  0 1 -8

Structural model:
```
Li4Co3O7
1.0
2.9805 0.0000 0.0000
0.1160 5.0301 0.0000
0.7695 0.0472 16.5255
Li Co O
8 6 14
Direct
0.0000 0.0000 0.0000 Li
0.0666 0.3539 0.8569 Li
0.2148 0.0711 0.5716 Li
0.3554 0.7864 0.2858 Li
0.5000 0.5000 0.0000 Li
0.6446 0.2136 0.7142 Li
0.7852 0.9289 0.4284 Li
0.9334 0.6461 0.1431 Li
0.1524 0.7186 0.7149 Co
0.2820 0.4294 0.4279 Co
0.4365 0.1389 0.1371 Co
0.5635 0.8611 0.8629 Co
0.7180 0.5706 0.5721 Co
0.8476 0.2814 0.2851 Co
0.0047 0.6884 0.9226 O
0.1405 0.0118 0.7862 O
0.1909 0.4151 0.6448 O
0.2467 0.7311 0.4990 O
0.2836 0.1261 0.3567 O
0.4124 0.4288 0.2144 O
0.4610 0.8504 0.0805 O
0.5390 0.1496 0.9195 O
0.5876 0.5712 0.7856 O
0.7164 0.8739 0.6433 O
0.7533 0.2689 0.5010 O
0.8091 0.5849 0.3552 O
0.8595 0.9882 0.2138 O
0.9953 0.3116 0.0774 O
```



Theoretical powder XRD pattern
Compound: LiVF4
Radiation: Cu Ka
Structure: DFT lattice parameters and positions (GGA+U)
Peak positions follow from Bragg's law for the DFT cell and can differ from measured ones.

Principal peaks in the range 2θ from 10° to 80°, most intense first:
2θ (°)  Rel. int.  index
16.2  100  2 0 0
24.4  88  1 0 2
23.5  53  0 2 0
28.7  28  2 2 0
55.9  27  6 2 0
49.9  19  6 0 0
34.1  18  1 2 2
53.8  16  5 2 2

Structural model:
```
LiVF4
1.0
10.9535 0.0000 0.0000
0.0000 7.5600 0.0000
0.0000 0.0000 7.7492
Li V F
8 8 32
Direct
0.0085 0.2500 0.0100 Li
0.0180 0.2500 0.4609 Li
0.4820 0.7500 0.9609 Li
0.4915 0.7500 0.5100 Li
0.5085 0.2500 0.4900 Li
0.5180 0.2500 0.0391 Li
0.9820 0.7500 0.5391 Li
0.9915 0.7500 0.9900 Li
0.2461 0.9999 0.6101 V
0.2461 0.5001 0.6101 V
0.2539 0.0001 0.1101 V
0.2539 0.4999 0.1101 V
0.7461 0.9999 0.8899 V
0.7461 0.5001 0.8899 V
0.7539 0.0001 0.3899 V
0.7539 0.4999 0.3899 V
0.0780 0.5680 0.6279 F
0.0780 0.9320 0.6279 F
0.0884 0.5691 0.0858 F
0.0884 0.9309 0.0858 F
0.1787 0.2500 0.5579 F
0.1819 0.2500 0.1470 F
0.2452 0.5558 0.3589 F
0.2452 0.9442 0.3589 F
0.2548 0.0558 0.8589 F
0.2548 0.4442 0.8589 F
0.3181 0.7500 0.6470 F
0.3213 0.7500 0.0579 F
0.4116 0.0691 0.5858 F
0.4116 0.4309 0.5858 F
0.4220 0.0680 0.1279 F
0.4220 0.4320 0.1279 F
0.5780 0.5680 0.8721 F
0.5780 0.9320 0.8721 F
0.5884 0.5691 0.4142 F
0.5884 0.9309 0.4142 F
0.6787 0.2500 0.9421 F
0.6819 0.2500 0.3530 F
0.7452 0.5558 0.1411 F
0.7452 0.9442 0.1411 F
0.7548 0.0558 0.6411 F
0.7548 0.4442 0.6411 F
0.8181 0.7500 0.8530 F
0.8213 0.7500 0.4421 F
0.9116 0.0691 0.9142 F
0.9116 0.4309 0.9142 F
0.9220 0.0680 0.3721 F
0.9220 0.4320 0.3721 F
```